Structure and calculated X-ray powder pattern of Cs4Pd3Br12 (a crystal structure in Alexandria, relaxed with PBE; a wavelength of 1.5418 Å).
Lines closer than 0.1° are merged.

Cell and atoms:
```
19
Lattice="-6.2223 6.2223 6.2223 6.2223 -6.2223 6.2223 6.2223 6.2223 -6.2223" Properties=species:S:1:pos:R:3 pbc="T T T"
Cs 3.1112 3.1112 -3.1112
Cs 3.1112 -3.1112 3.1112
Cs -3.1112 3.1112 3.1112
Cs 3.1112 3.1112 3.1112
Pd 6.2223 0.0000 0.0000
Pd 0.0000 6.2223 0.0000
Pd 0.0000 0.0000 6.2223
Br 4.4864 0.0000 1.7301
Br 7.9582 0.0000 1.7301
Br 6.2223 4.4923 -1.7359
Br 1.7301 4.4864 0.0000
Br 4.4923 -1.7359 6.2223
Br 0.0000 1.7301 4.4864
Br 6.2223 4.4923 1.7359
Br 1.7301 7.9582 0.0000
Br 4.4923 1.7359 6.2223
Br 0.0000 1.7301 7.9582
Br -1.7359 6.2223 4.4923
Br 1.7359 6.2223 4.4923
```

Main lines, low angle first (10 to 80 degrees two-theta):
| 2theta | I (rel.) |
| --- | --- |
| 10.1 | 52 |
| 17.5 | 31 |
| 20.2 | 100 |
| 22.6 | 71 |
| 32.2 | 29 |
| 35.3 | 82 |
| 36.8 | 43 |
| 46.1 | 35 |
| 50.8 | 30 |
| 55.2 | 24 |